# 1
The following is a calculated X-ray powder pattern of Mg6ZnSiO8. It was derived from a cell relaxed with GGA-PBE, using a wavelength of 1.5418 Å.

Main lines, in order of rising 2θ (2θ from 10° to 90°):
index	d (Å)	2θ (°)	I/Imax
0 0 1	8.629	10.25	20
0 0 2	4.324	20.54	13
1 0 1	3.871	22.98	13
1 1 2	2.497	35.96	32
2 0 0	2.166	41.71	100
0 0 4	2.157	41.88	49
2 2 0	1.531	60.46	29
2 0 4	1.528	60.59	57
3 1 2	1.305	72.39	12
2 2 4	1.249	76.25	26

Structure:
Cell: 4.331 4.331 8.629 Å, 90.00 90.00 90.00°
Space group P4/mmm (No. 123)
Inequivalent atoms, fractional coordinates:
Mg 0.000 0.000 0.000
Mg 0.000 0.500 0.248
Mg 0.500 0.500 0.000
Zn 0.000 0.000 0.500
Si 0.500 0.500 0.500
O 0.000 0.000 0.248
O 0.000 0.500 0.000
O 0.000 0.500 0.500
O 0.500 0.500 0.239

# 2
The following is a calculated X-ray powder pattern of Mg14ZnSiO16. It was derived from a cell relaxed with GGA-PBE, using a wavelength of 1.5418 Å.

Main lines, in order of rising 2θ (2θ from 10° to 90°):
index	d (Å)	2θ (°)	I/Imax
1 0 0	8.592	10.30	7
1 1 0	6.075	14.58	3
2 0 0	4.296	20.68	3
2 1 0	3.842	23.15	5
2 2 0	3.038	29.40	3
2 2 1	2.480	36.22	16
0 0 2	2.148	42.07	100
4 0 2	1.519	61.01	57
6 2 1	1.295	73.05	10
4 4 2	1.240	76.88	17

Structure:
Cell: 8.592 8.592 4.295 Å, 90.00 90.00 90.00°
Space group P4/mmm (No. 123)
Inequivalent atoms, fractional coordinates:
Mg 0.000 0.250 0.000
Mg 0.000 0.500 0.500
Mg 0.247 0.500 0.000
Mg 0.249 0.249 0.500
Zn 0.000 0.000 0.500
Si 0.500 0.500 0.500
O 0.000 0.000 0.000
O 0.000 0.252 0.500
O 0.000 0.500 0.000
O 0.239 0.500 0.500
O 0.250 0.250 0.000
O 0.500 0.500 0.000